Entry 1:
Calculated X-ray powder pattern
Compound: Ba2Ta6Te2O21
Radiation: a wavelength of 1.5418 Å
Structure: a cell relaxed with GGA-PBE

Cell and atoms:
Cell: 8.918 8.918 9.743 Å, 96.44 96.44 37.59°
Element x y z (fractional)
Ba1 0.138 0.138 0.028
Ba2 0.862 0.862 0.972
Ta1 0.099 0.099 0.418
Ta2 0.324 0.324 0.328
Ta3 0.479 0.479 0.836
Ta4 0.521 0.521 0.164
Ta5 0.676 0.676 0.672
Ta6 0.901 0.901 0.582
Te1 0.274 0.274 0.747
Te2 0.726 0.726 0.253
O1 0.000 0.000 0.500
O2 0.023 0.542 0.170
O3 0.104 0.606 0.447
O4 0.176 0.693 0.720
O5 0.210 0.210 0.349
O6 0.279 0.721 0.000
O7 0.307 0.824 0.280
O8 0.358 0.358 0.896
O9 0.394 0.896 0.553
O10 0.419 0.419 0.222
O11 0.458 0.977 0.830
O12 0.542 0.023 0.170
O13 0.581 0.581 0.778
O14 0.606 0.104 0.447
O15 0.642 0.642 0.104
O16 0.693 0.176 0.720
O17 0.721 0.279 0.000
O18 0.790 0.790 0.651
O19 0.824 0.307 0.280
O20 0.896 0.394 0.553
O21 0.977 0.458 0.830

Most intense lines, 2θ from 5° to 70°, sorted by position:
| 2theta | intensity |
| --- | --- |
| 22.10 | 34 |
| 24.76 | 43 |
| 25.11 | 100 |
| 26.44 | 38 |
| 27.68 | 32 |
| 30.87 | 80 |
| 31.13 | 52 |
| 31.71 | 31 |
| 44.41 | 33 |
| 52.97 | 27 |



Entry 2:
Calculated X-ray powder pattern
Compound: Ba3Ta4TiO15
Radiation: a wavelength of 1.5418 Å
Structure: a cell relaxed with GGA-PBE

Cell and atoms:
Cell: 12.729 12.729 3.988 Å, 90.00 90.00 90.00°
Element x y z (fractional)
Ba1 0.000 0.000 0.000
Ba2 0.166 0.334 0.000
Ba3 0.334 0.834 0.000
Ba4 0.500 0.500 0.000
Ba5 0.666 0.166 0.000
Ba6 0.834 0.666 0.000
Ta1 0.073 0.783 0.500
Ta2 0.217 0.073 0.500
Ta3 0.283 0.573 0.500
Ta4 0.427 0.283 0.500
Ta5 0.573 0.717 0.500
Ta6 0.717 0.427 0.500
Ta7 0.783 0.927 0.500
Ta8 0.927 0.217 0.500
Ti1 0.000 0.500 0.500
Ti2 0.500 0.000 0.500
O1 0.000 0.500 0.000
O2 0.006 0.345 0.500
O3 0.068 0.142 0.500
O4 0.078 0.793 0.000
O5 0.142 0.932 0.500
O6 0.155 0.494 0.500
O7 0.207 0.078 0.000
O8 0.216 0.716 0.500
O9 0.284 0.216 0.500
O10 0.293 0.578 0.000
O11 0.345 0.994 0.500
O12 0.358 0.432 0.500
O13 0.422 0.293 0.000
O14 0.432 0.642 0.500
O15 0.494 0.845 0.500
O16 0.500 0.000 0.000
O17 0.506 0.155 0.500
O18 0.568 0.358 0.500
O19 0.578 0.707 0.000
O20 0.642 0.568 0.500
O21 0.655 0.006 0.500
O22 0.707 0.422 0.000
O23 0.716 0.784 0.500
O24 0.784 0.284 0.500
O25 0.793 0.922 0.000
O26 0.845 0.506 0.500
O27 0.858 0.068 0.500
O28 0.922 0.207 0.000
O29 0.932 0.858 0.500
O30 0.994 0.655 0.500

Most intense lines, 2θ from 5° to 70°, sorted by position:
| 2theta | intensity |
| --- | --- |
| 25.23 | 59 |
| 27.30 | 91 |
| 28.92 | 100 |
| 29.94 | 66 |
| 31.43 | 39 |
| 31.58 | 81 |
| 33.91 | 35 |
| 45.49 | 35 |
| 48.61 | 33 |
| 54.81 | 34 |



Entry 3:
Calculated X-ray powder pattern
Compound: Ba3Ta4TiO15
Radiation: a wavelength of 1.5418 Å
Structure: a cell relaxed with GGA-PBE

Cell and atoms:
Cell: 4.019 12.760 12.685 Å, 90.00 90.05 90.00°
Element x y z (fractional)
Ba1 0.000 0.073 0.000
Ba2 0.000 0.927 0.500
Ba3 0.997 0.248 0.334
Ba4 0.997 0.752 0.834
Ba5 0.998 0.417 0.655
Ba6 0.998 0.583 0.155
Ta1 0.491 0.251 0.824
Ta2 0.491 0.749 0.324
Ta3 0.498 0.036 0.255
Ta4 0.498 0.964 0.755
Ta5 0.500 0.460 0.405
Ta6 0.500 0.540 0.905
Ta7 0.501 0.324 0.114
Ta8 0.501 0.676 0.614
Ti1 0.531 0.170 0.545
Ti2 0.531 0.830 0.045
O1 0.479 0.254 0.671
O2 0.479 0.746 0.171
O3 0.481 0.405 0.822
O4 0.481 0.595 0.322
O5 0.482 0.245 0.984
O6 0.482 0.755 0.484
O7 0.483 0.094 0.835
O8 0.483 0.906 0.335
O9 0.486 0.108 0.396
O10 0.486 0.892 0.896
O11 0.487 0.322 0.470
O12 0.487 0.678 0.970
O13 0.489 0.392 0.260
O14 0.489 0.608 0.760
O15 0.490 0.032 0.612
O16 0.490 0.183 0.187
O17 0.490 0.817 0.687
O18 0.490 0.968 0.112
O19 0.492 0.466 0.046
O20 0.492 0.534 0.546
O21 0.972 0.172 0.535
O22 0.972 0.828 0.035
O23 0.981 0.249 0.828
O24 0.981 0.751 0.328
O25 0.989 0.044 0.249
O26 0.989 0.329 0.123
O27 0.989 0.459 0.406
O28 0.989 0.541 0.906
O29 0.989 0.671 0.623
O30 0.989 0.956 0.749

Most intense lines, 2θ from 5° to 70°, sorted by position:
| 2theta | intensity |
| --- | --- |
| 22.10 | 33 |
| 25.24 | 40 |
| 27.17 | 76 |
| 28.86 | 37 |
| 29.01 | 47 |
| 29.81 | 41 |
| 31.42 | 100 |
| 31.50 | 81 |
| 33.81 | 31 |
| 45.14 | 46 |